Computed powder diffraction line list
Compound: Er7FeI12
Radiation: Cu Kα X-rays
Structure: a crystal structure in the Materials Project, relaxed with GGA-PBE
No peak broadening, texture or thermal motion is included.

Principal peaks in the range 2θ from 10° to 90°, sorted by position:
- 11.4°, d = 7.770 Å, I 31
- 29.0°, d = 3.075 Å, I 100
- 41.1°, d = 2.194 Å, I 33
- 41.9°, d = 2.155 Å, I 34
- 51.8°, d = 1.765 Å, I 16
- 60.2°, d = 1.538 Å, I 14

Atomic structure:
```
20
Lattice="7.770 4.486 3.615 -7.770 4.486 3.615 0.000 -8.972 3.615" Properties=species:S:1:pos:R:3 pbc="T T T"
Er 0.000 0.000 0.000
Er -1.525 -1.498 3.973
Er -0.535 2.070 3.973
Er 2.060 -0.572 3.973
Er -2.060 0.572 6.873
Er 0.535 -2.070 6.873
Er 1.525 1.498 6.873
Fe 0.000 0.000 5.423
I -2.371 0.676 1.759
I 0.600 -2.391 1.759
I -4.260 -1.072 5.332
I -1.201 -4.225 5.513
I 1.771 1.715 1.759
I -3.059 3.153 5.513
I 3.059 -3.153 5.332
I -1.771 -1.715 9.086
I 1.201 4.225 5.332
I 4.260 1.072 5.513
I -0.600 2.391 9.086
I 2.371 -0.676 9.086
```